[1]
Simulated X-ray powder pattern
Compound: LuThCo4
Radiation: Cu Kα
Structure: the PBE geometry in Alexandria
Intensities are scaled so that the largest is 100.

Peak list (10 most intense, 2θ from 10° to 90°, low angle first)
d [Å]	I/Imax	(hkl)
4.115	27	1 1 1
2.520	75	2 2 0
2.149	100	3 1 1
2.058	11	2 2 2
1.635	7	3 3 1
1.455	28	4 2 2
1.372	31	5 1 1
1.260	22	4 4 0
1.205	6	5 3 1
1.127	13	6 2 0

```
data_LuThCo4
_cell_length_a 7.128
_cell_length_b 7.128
_cell_length_c 7.128
_cell_angle_alpha 90.00
_cell_angle_beta 90.00
_cell_angle_gamma 90.00
_symmetry_space_group_name_H-M 'F -4 3 m'
_symmetry_Int_Tables_number 216
_symmetry_space_group_name_Hall 'F -4 2 3'
loop_
_atom_site_label
_atom_site_fract_x
_atom_site_fract_y
_atom_site_fract_z
Lu1 0.000 0.000 0.000
Th1 0.250 0.250 0.250
Co1 0.126 0.126 0.626
```

[2]
Simulated X-ray powder pattern
Compound: Ti3Mo2Pt
Radiation: Cu Kα
Structure: the PBE geometry in Alexandria
Intensities are scaled so that the largest is 100.

Peak list (10 most intense, 2θ from 10° to 90°, low angle first)
d [Å]	I/Imax	(hkl)
6.313	6	0 1 0
3.154	28	0 2 0
2.231	100	1 2 1
1.821	8	0 2 3
1.579	11	2 0 2
1.575	5	2 0 -4
1.412	7	1 4 1
1.288	22	3 2 0
1.287	11	3 2 -3
1.115	7	4 0 -2

```
data_Ti3Mo2Pt
_cell_length_a 4.461
_cell_length_b 6.313
_cell_length_c 7.044
_cell_angle_alpha 90.00
_cell_angle_beta 108.30
_cell_angle_gamma 90.00
_symmetry_space_group_name_H-M 'P 1 2/m 1'
_symmetry_Int_Tables_number 10
loop_
_symmetry_equiv_pos_as_xyz
'x,y,z'
'-x,-y,-z'
'-x,y,-z'
'x,-y,z'
loop_
_atom_site_label
_atom_site_fract_x
_atom_site_fract_y
_atom_site_fract_z
Ti1 0.000 0.247 0.000
Ti2 0.335 0.244 0.670
Mo1 0.168 0.000 0.337
Mo2 0.500 0.000 0.000
Mo3 0.500 0.500 0.000
Pt1 0.165 0.500 0.331
```

[3]
Simulated X-ray powder pattern
Compound: Ir5Ru2Rh5
Radiation: Cu Kα
Structure: the PBE geometry in Alexandria
Intensities are scaled so that the largest is 100.

Peak list (10 most intense, 2θ from 10° to 90°, low angle first)
d [Å]	I/Imax	(hkl)
3.605	9	1 1 0
2.866	2	2 0 -3
2.222	100	3 1 1
1.926	32	0 0 4
1.923	16	0 2 0
1.361	21	6 0 2
1.360	10	0 2 4
1.162	12	9 1 -1
1.160	25	3 3 1
1.111	11	6 2 2

```
data_Ir5Ru2Rh5
_cell_length_a 11.563
_cell_length_b 3.845
_cell_length_c 8.610
_cell_angle_alpha 90.00
_cell_angle_beta 116.61
_cell_angle_gamma 90.00
_symmetry_space_group_name_H-M 'C 1 2/m 1'
_symmetry_Int_Tables_number 12
loop_
_symmetry_equiv_pos_as_xyz
'x,y,z'
'-x,-y,-z'
'-x,y,-z'
'x,-y,z'
'x+1/2,y+1/2,z'
'-x+1/2,-y+1/2,-z'
'-x+1/2,y+1/2,-z'
'x+1/2,-y+1/2,z'
loop_
_atom_site_label
_atom_site_fract_x
_atom_site_fract_y
_atom_site_fract_z
Ir1 0.000 0.000 0.000
Ir2 0.081 0.000 0.750
Ir3 0.168 0.000 0.499
Ru1 0.083 0.500 0.252
Rh1 0.000 0.500 0.500
Rh2 0.164 0.500 0.999
Rh3 0.248 0.000 0.249
```

[4]
Simulated X-ray powder pattern
Compound: RbBa2CeO4
Radiation: Cu Kα
Structure: the PBE geometry in Alexandria
Intensities are scaled so that the largest is 100.

Peak list (10 most intense, 2θ from 10° to 90°, low angle first)
d [Å]	I/Imax	(hkl)
3.162	91	0 2 2
3.144	89	2 0 2
2.798	51	0 0 4
2.699	100	2 2 0
1.942	68	2 2 4
1.916	17	0 4 0
1.900	17	4 0 0
1.677	17	0 2 6
1.636	28	2 4 2
1.629	27	4 2 2

```
data_RbBa2CeO4
_cell_length_a 7.602
_cell_length_b 7.664
_cell_length_c 11.191
_cell_angle_alpha 90.00
_cell_angle_beta 90.00
_cell_angle_gamma 90.00
_symmetry_space_group_name_H-M 'I m m a'
_symmetry_Int_Tables_number 74
_symmetry_space_group_name_Hall '-I 2b 2'
loop_
_atom_site_label
_atom_site_fract_x
_atom_site_fract_y
_atom_site_fract_z
Rb1 0.000 0.000 0.000
Ba1 0.000 0.000 0.500
Ba2 0.250 0.250 0.250
Ce1 0.250 0.250 0.750
O1 0.000 0.027 0.745
O2 0.237 0.250 0.550
```

[5]
Simulated X-ray powder pattern
Compound: Na2B3C
Radiation: Cu Kα
Structure: the PBE geometry in Alexandria
Intensities are scaled so that the largest is 100.

Peak list (10 most intense, 2θ from 10° to 90°, low angle first)
d [Å]	I/Imax	(hkl)
2.608	13	0 0 10
2.475	17	0 1 5
2.234	49	2 0 10
2.163	39	4 0 0
2.148	100	2 1 5
1.629	10	4 1 5
1.479	17	0 1 15
1.246	13	6 1 5
1.221	17	4 1 15
1.190	9	2 2 10

```
data_Na2B3C
_cell_length_a 8.652
_cell_length_b 2.812
_cell_length_c 26.085
_cell_angle_alpha 90.00
_cell_angle_beta 90.00
_cell_angle_gamma 90.00
_symmetry_space_group_name_H-M 'A m m 2'
_symmetry_Int_Tables_number 38
loop_
_symmetry_equiv_pos_as_xyz
'x,y,z'
'-x,-y,z'
'-x,y,z'
'x,-y,z'
'x,y+1/2,z+1/2'
'-x,-y+1/2,z+1/2'
'-x,y+1/2,z+1/2'
'x,-y+1/2,z+1/2'
loop_
_atom_site_label
_atom_site_fract_x
_atom_site_fract_y
_atom_site_fract_z
Na1 0.249 0.000 0.000
Na2 0.250 0.000 0.200
Na3 0.250 0.000 0.400
Na4 0.250 0.000 0.600
Na5 0.250 0.000 0.800
B1 0.000 0.000 0.078
B2 0.000 0.000 0.264
B3 0.000 0.000 0.470
B4 0.000 0.000 0.535
B5 0.000 0.000 0.670
B6 0.000 0.000 0.858
B7 0.000 0.000 0.926
B8 0.500 0.000 0.123
B9 0.500 0.000 0.270
B10 0.500 0.000 0.334
B11 0.500 0.000 0.533
B12 0.500 0.000 0.664
B13 0.500 0.000 0.727
B14 0.500 0.000 0.874
B15 0.500 0.000 0.941
C1 0.000 0.000 0.138
C2 0.000 0.000 0.327
C3 0.000 0.000 0.732
C4 0.500 0.000 0.063
C5 0.500 0.000 0.471
```

[6]
Simulated X-ray powder pattern
Compound: Li3LaTl
Radiation: Cu Kα
Structure: the PBE geometry in Alexandria
Intensities are scaled so that the largest is 100.

Peak list (10 most intense, 2θ from 10° to 90°, low angle first)
d [Å]	I/Imax	(hkl)
7.280	100	0 4 0
3.815	36	1 5 0
2.843	28	1 1 1
2.740	44	1 3 1
2.724	30	1 9 0
2.524	15	2 0 0
2.510	16	0 8 1
2.385	14	2 4 0
1.988	12	0 12 1
1.780	12	2 8 1

```
data_Li3LaTl
_cell_length_a 5.048
_cell_length_b 29.121
_cell_length_c 3.465
_cell_angle_alpha 90.00
_cell_angle_beta 90.00
_cell_angle_gamma 90.00
_symmetry_space_group_name_H-M 'C m m m'
_symmetry_Int_Tables_number 65
_symmetry_space_group_name_Hall '-C 2 2'
loop_
_atom_site_label
_atom_site_fract_x
_atom_site_fract_y
_atom_site_fract_z
Li1 0.000 0.046 0.000
Li2 0.000 0.224 0.500
Li3 0.000 0.443 0.500
La1 0.000 0.333 0.000
Tl1 0.000 0.120 0.500
```

[7]
Simulated X-ray powder pattern
Compound: Ba2Pu3PdO12
Radiation: Cu Kα
Structure: the PBE geometry in Alexandria
Intensities are scaled so that the largest is 100.

Peak list (10 most intense, 2θ from 10° to 90°, low angle first)
d [Å]	I/Imax	(hkl)
5.573	41	0 0 3
3.562	22	1 0 4
3.337	100	0 2 1
3.213	63	1 1 3
3.154	81	2 0 2
3.001	30	0 1 5
2.040	22	1 2 5
1.966	47	2 2 0
1.855	23	0 0 9
1.781	25	2 0 8

```
data_Ba2Pu3PdO12
_cell_length_a 7.8646
_cell_length_b 7.8646
_cell_length_c 16.7182
_cell_angle_alpha 90.00
_cell_angle_beta 90.00
_cell_angle_gamma 120.00
_symmetry_space_group_name_H-M 'R -3 m'
_symmetry_Int_Tables_number 166
_symmetry_space_group_name_Hall '-R 3 2"'
loop_
_atom_site_label
_atom_site_fract_x
_atom_site_fract_y
_atom_site_fract_z
Ba1 0.0000 0.0000 0.1114
Pu1 0.0000 0.5000 0.0000
Pd1 0.0000 0.0000 0.5000
O1 0.0607 0.5304 0.3094
O2 0.0632 0.5316 0.8904
```